Diffraction record for Li4MnNi3P4O16. The XRD peak list is simulated, not measured: it uses DFT lattice parameters and positions (GGA+U) and CuKα.
Kinematic intensities with the Lorentz-polarization factor, no thermal factor.

Crystal structure
Cell lengths 4.7350, 5.9726, 10.1919 Å; angles 90.00, 90.09, 90.00 degrees
Positions (direct):
Li 0.0000 0.2500 0.0000
Li 0.0000 0.7500 0.0000
Li 0.4985 0.2505 0.4961
Li 0.4985 0.7495 0.4961
Mn 0.9748 0.0000 0.7194
Ni 0.0191 0.5000 0.2725
Ni 0.4807 0.5000 0.7765
Ni 0.5204 0.0000 0.2217
P 0.0872 0.0000 0.3999
P 0.4171 0.0000 0.9090
P 0.5838 0.5000 0.0931
P 0.9109 0.5000 0.5913
O 0.2082 0.0000 0.5412
O 0.2255 0.2072 0.3299
O 0.2255 0.7928 0.3299
O 0.2343 0.5000 0.6001
O 0.2601 0.5000 0.0989
O 0.2811 0.2067 0.8375
O 0.2811 0.7933 0.8375
O 0.2943 0.0000 0.0503
O 0.7011 0.5000 0.9509
O 0.7250 0.2940 0.1639
O 0.7250 0.7060 0.1639
O 0.7400 0.0000 0.9054
O 0.7631 0.0000 0.3971
O 0.7665 0.2965 0.6616
O 0.7665 0.7035 0.6616
O 0.7996 0.5000 0.4481

The 6 most intense peaks (5 to 70 degrees two-theta), low angle first:
d [Å], intensity
5.096, 37
4.294, 48
3.487, 86
2.986, 60
2.506, 100
1.743, 36


Diffraction record for Li7MnNi3P6O24. The XRD peak list is simulated, not measured: it uses DFT lattice parameters and positions (GGA+U) and CuKα.
Kinematic intensities with the Lorentz-polarization factor, no thermal factor.

Crystal structure
Cell lengths 8.7424, 8.7424, 8.7424 Å; angles 60.19, 60.19, 60.19 degrees
Positions (direct):
Li 0.0000 0.0000 0.0000
Li 0.2364 0.4053 0.7510
Li 0.2380 0.8432 0.6648
Li 0.4053 0.7510 0.2364
Li 0.6648 0.2380 0.8432
Li 0.7510 0.2364 0.4053
Li 0.8432 0.6648 0.2380
Mn 0.3696 0.3696 0.3696
Ni 0.1578 0.1578 0.1578
Ni 0.6603 0.6603 0.6603
Ni 0.8662 0.8662 0.8662
P 0.0618 0.7548 0.4739
P 0.2561 0.5583 0.9845
P 0.4739 0.0618 0.7548
P 0.5583 0.9845 0.2561
P 0.7548 0.4739 0.0618
P 0.9845 0.2561 0.5583
O 0.0471 0.7932 0.6361
O 0.0783 0.7363 0.9846
O 0.1178 0.9007 0.2794
O 0.1552 0.2959 0.5221
O 0.2254 0.3947 0.9945
O 0.2413 0.5704 0.4774
O 0.2794 0.1178 0.9007
O 0.2959 0.5221 0.1552
O 0.3947 0.9945 0.2254
O 0.4115 0.6007 0.7941
O 0.4774 0.2413 0.5704
O 0.4969 0.8924 0.7282
O 0.5221 0.1552 0.2959
O 0.5704 0.4774 0.2413
O 0.6007 0.7941 0.4115
O 0.6361 0.0471 0.7932
O 0.7282 0.4969 0.8924
O 0.7363 0.9846 0.0783
O 0.7932 0.6361 0.0471
O 0.7941 0.4115 0.6007
O 0.8924 0.7282 0.4969
O 0.9007 0.2794 0.1178
O 0.9846 0.0783 0.7363
O 0.9945 0.2254 0.3947

The 6 most intense peaks (5 to 70 degrees two-theta), low angle first:
d [Å], intensity
4.375, 100
3.734, 97
3.095, 46
2.765, 49
2.530, 41
1.656, 33


Diffraction record for Li4Mn3Ni3P6O24. The XRD peak list is simulated, not measured: it uses DFT lattice parameters and positions (GGA+U) and CuKα.
Kinematic intensities with the Lorentz-polarization factor, no thermal factor.

Crystal structure
Cell lengths 8.4577, 8.5501, 8.5589 Å; angles 62.35, 62.75, 62.72 degrees
Positions (direct):
Li 0.0000 0.0000 0.0000
Li 0.1049 0.4978 0.8745
Li 0.4754 0.7079 0.2946
Li 0.8940 0.0771 0.5038
Mn 0.2617 0.8535 0.6439
Mn 0.7325 0.3554 0.1454
Mn 0.8949 0.5014 0.3006
Ni 0.1049 0.7043 0.5025
Ni 0.3924 0.0013 0.7925
Ni 0.6063 0.2080 0.0011
P 0.0025 0.3071 0.6988
P 0.1972 0.1071 0.1918
P 0.2983 0.6066 0.1028
P 0.5041 0.3984 0.6046
P 0.7023 0.9030 0.4038
P 0.8010 0.8105 0.9043
O 0.0691 0.4581 0.6723
O 0.1325 0.5405 0.1474
O 0.1500 0.1096 0.7162
O 0.1780 0.9533 0.3889
O 0.2012 0.0533 0.0423
O 0.2757 0.6688 0.2553
O 0.2901 0.7701 0.9173
O 0.3510 0.5964 0.5768
O 0.3600 0.1671 0.1426
O 0.4471 0.2435 0.6272
O 0.4877 0.4507 0.0773
O 0.5078 0.9206 0.5525
O 0.5715 0.3649 0.7552
O 0.6339 0.8503 0.8546
O 0.6623 0.4241 0.4020
O 0.7019 0.0857 0.2345
O 0.7383 0.7386 0.3430
O 0.7897 0.9579 0.9651
O 0.8161 0.6099 0.0649
O 0.8484 0.2828 0.8928
O 0.8552 0.8723 0.4727
O 0.9394 0.3444 0.5360
O 0.9973 0.2676 0.2214
O 0.9966 0.7771 0.7495

The 6 most intense peaks (5 to 70 degrees two-theta), low angle first:
d [Å], intensity
4.428, 100
3.736, 38
3.714, 38
3.690, 37
2.719, 36
2.556, 62